This entry pairs a crystal structure of Sr6V9S22O2 with its theoretical powder XRD pattern. Radiation: Cu Kα X-rays. Structure: a cell relaxed with GGA+U.
Lines closer than 0.1° are merged.

Top 10 peaks for 2θ from 15° to 90°, sorted by position:
15.11°, d 5.863, rel. 31
20.92°, d 4.246, rel. 53
22.74°, d 3.910, rel. 35
24.75°, d 3.598, rel. 58
30.10°, d 2.969, rel. 64
30.43°, d 2.937, rel. 40
32.61°, d 2.746, rel. 68
34.98°, d 2.565, rel. 41
36.42°, d 2.467, rel. 100
41.39°, d 2.182, rel. 40

Structure:
```
Sr6V9S22O2
1.0
4.5555 2.6301 11.7263
-4.5555 2.6301 11.7263
0.0000 -5.2602 11.7263
Sr V S O
6 9 22 2
direct
0.0116 0.5873 0.2364
0.2364 0.0116 0.5873
0.4127 0.7636 0.9884
0.5873 0.2364 0.0116
0.7636 0.9884 0.4127
0.9884 0.4127 0.7636
0.0617 0.6497 0.7886
0.2114 0.9383 0.3503
0.3461 0.3461 0.3461
0.3503 0.2114 0.9383
0.5000 0.5000 0.5000
0.6497 0.7886 0.0617
0.6539 0.6539 0.6539
0.7886 0.0617 0.6497
0.9383 0.3503 0.2114
0.0169 0.1580 0.4483
0.0301 0.0301 0.0301
0.1241 0.1241 0.1241
0.1469 0.6007 0.3481
0.1580 0.4483 0.0169
0.2682 0.4188 0.6976
0.3024 0.7318 0.5812
0.3481 0.1469 0.6007
0.3993 0.6519 0.8531
0.4188 0.6976 0.2682
0.4483 0.0169 0.1580
0.5517 0.9831 0.8420
0.5812 0.3024 0.7318
0.6007 0.3481 0.1469
0.6519 0.8531 0.3993
0.6976 0.2682 0.4188
0.7318 0.5812 0.3024
0.8420 0.5517 0.9831
0.8531 0.3993 0.6519
0.8759 0.8759 0.8759
0.9699 0.9699 0.9699
0.9831 0.8420 0.5517
0.2968 0.2968 0.2968
0.7032 0.7032 0.7032
```